RbHo4Cl12: simulated X-ray powder pattern (Cu Kα (weighted mean of Kα1 and Kα2)), based on a structure optimized by DFT (GGA-PBE).

Structural model:
a b c (Å): 10.288 10.290 10.293
angles (deg): 90.00 90.00 90.00
Space group Immm (No. 71)
Inequivalent atoms, fractional coordinates:
Rb (0.000, 0.000, 0.000) (multiplicity 2)
Ho (0.250, 0.250, 0.250) (multiplicity 8)
Cl (0.000, 0.287, 0.199) (multiplicity 8)
Cl (0.199, 0.000, 0.285) (multiplicity 8)
Cl (0.214, 0.300, 0.500) (multiplicity 8)

Main lines, in order of rising 2θ (5° ≤ 2θ ≤ 70°):
hkl	two_theta	d_spacing	Rel. int.
0 0 2	17.23	5.145	100
2 2 0	24.47	3.638	67
3 1 2	32.56	2.750	11
0 0 4	34.88	2.573	40
4 2 0	39.15	2.301	51
4 2 2	43.06	2.100	46
0 4 4	50.15	1.819	22
2 4 4	53.42	1.715	21
6 2 0	56.57	1.627	15
6 2 4	68.20	1.375	21